# 1
Diffraction record for Dy2Y. The powder diffractogram is theoretical, not measured: it uses a structure optimized by DFT (PBE) and Cu Kα (weighted mean of Kα1 and Kα2).
Peak positions follow from Bragg's law for the DFT cell and can differ from measured ones.

Peak list (10 most intense, 10° ≤ 2θ ≤ 80°, most intense first)
- 32.1°, d = 2.790 Å, I 100, hkl 3 1 1
- 33.5°, d = 2.672 Å, I 60, hkl 2 2 2
- 51.3°, d = 1.781 Å, I 35, hkl 5 1 1
- 56.2°, d = 1.636 Å, I 34, hkl 4 4 0
- 16.6°, d = 5.343 Å, I 29, hkl 1 1 1
- 67.1°, d = 1.395 Å, I 24, hkl 6 2 2
- 79.6°, d = 1.205 Å, I 22, hkl 7 3 1
- 38.9°, d = 2.314 Å, I 16, hkl 4 0 0
- 27.3°, d = 3.272 Å, I 13, hkl 2 2 0
- 66.2°, d = 1.411 Å, I 12, hkl 5 3 3

Structural model:
a = 9.255 Å, b = 9.255 Å, c = 9.255 Å
α = 90.00°, β = 90.00°, γ = 90.00°
Space group Fd-3m (No. 227, origin choice 2)
Unique sites:
Dy: 0.000 0.000 0.000 x16
Y: 0.125 0.125 0.625 x8

***

# 2
Diffraction record for DyYZn6. The powder diffractogram is theoretical, not measured: it uses a structure optimized by DFT (PBE) and Cu Kα (weighted mean of Kα1 and Kα2).
Peak positions follow from Bragg's law for the DFT cell and can differ from measured ones.

Peak list (10 most intense, 10° ≤ 2θ ≤ 80°, most intense first)
- 38.6°, d = 2.334 Å, I 100, hkl 2 0 0
- 69.8°, d = 1.348 Å, I 22, hkl 3 2 1
- 55.6°, d = 1.652 Å, I 11, hkl 2 0 2
- 69.9°, d = 1.346 Å, I 11, hkl 2 4 0
- 23.3°, d = 3.811 Å, I 6, hkl 1 1 0
- 55.8°, d = 1.648 Å, I 6, hkl 0 4 0
- 27.0°, d = 3.301 Å, I 3, hkl 1 0 1
- 45.6°, d = 1.990 Å, I 3, hkl 2 1 1
- 13.4°, d = 6.590 Å, I 2, hkl 0 1 0
- 19.0°, d = 4.672 Å, I 2, hkl 1 0 0

Structural model:
a = 4.672 Å, b = 6.590 Å, c = 4.672 Å
α = 90.00°, β = 90.00°, γ = 90.00°
Space group Pmm2 (No. 25)
Unique sites:
Dy: 0.000 0.000 0.000 x1
Y: 0.500 0.500 0.508 x1
Zn: 0.000 0.249 0.499 x2
Zn: 0.000 0.500 0.001 x1
Zn: 0.500 0.000 0.508 x1
Zn: 0.500 0.249 0.009 x2

***

# 3
Diffraction record for DyYZn6. The powder diffractogram is theoretical, not measured: it uses a structure optimized by DFT (PBE) and Cu Kα (weighted mean of Kα1 and Kα2).
Peak positions follow from Bragg's law for the DFT cell and can differ from measured ones.

Peak list (10 most intense, 10° ≤ 2θ ≤ 80°, most intense first)
- 38.6°, d = 2.334 Å, I 100, hkl 2 0 0
- 69.8°, d = 1.348 Å, I 33, hkl 3 1 2
- 55.7°, d = 1.651 Å, I 17, hkl 2 2 0
- 23.3°, d = 3.812 Å, I 6, hkl 1 0 1
- 27.0°, d = 3.301 Å, I 3, hkl 1 1 0
- 45.6°, d = 1.991 Å, I 3, hkl 2 1 1
- 13.4°, d = 6.601 Å, I 2, hkl 0 0 1
- 19.0°, d = 4.669 Å, I 2, hkl 1 0 0
- 61.2°, d = 1.515 Å, I 1, hkl 3 0 1
- 63.0°, d = 1.476 Å, I 1, hkl 3 1 0

Structural model:
a = 4.669 Å, b = 4.669 Å, c = 6.601 Å
α = 90.00°, β = 90.00°, γ = 90.00°
Space group P4/mmm (No. 123)
Unique sites:
Dy: 0.000 0.000 0.000 x1
Y: 0.500 0.500 0.500 x1
Zn: 0.000 0.000 0.500 x1
Zn: 0.000 0.500 0.249 x4
Zn: 0.500 0.500 0.000 x1

***

# 4
Diffraction record for DyZn. The powder diffractogram is theoretical, not measured: it uses a structure optimized by DFT (PBE) and Cu Kα (weighted mean of Kα1 and Kα2).
Peak positions follow from Bragg's law for the DFT cell and can differ from measured ones.

Peak list (10 most intense, 10° ≤ 2θ ≤ 80°, most intense first)
- 34.7°, d = 2.582 Å, I 100, hkl 1 3 0
- 35.8°, d = 2.506 Å, I 81, hkl 1 1 2
- 37.5°, d = 2.398 Å, I 58, hkl 2 0 0
- 34.9°, d = 2.571 Å, I 43, hkl 0 2 2
- 34.4°, d = 2.605 Å, I 42, hkl 1 0 2
- 25.4°, d = 3.507 Å, I 33, hkl 1 1 1
- 52.2°, d = 1.754 Å, I 28, hkl 2 2 2
- 65.7°, d = 1.420 Å, I 26, hkl 3 0 2
- 66.6°, d = 1.405 Å, I 24, hkl 3 1 2
- 32.6°, d = 2.747 Å, I 20, hkl 0 3 1

Structural model:
a = 4.796 Å, b = 9.191 Å, c = 6.205 Å
α = 90.00°, β = 90.00°, γ = 90.00°
Space group Pmc2_1 (No. 26)
Unique sites:
Dy: 0.000 0.030 0.000 x2
Dy: 0.000 0.349 0.672 x2
Dy: 0.500 0.212 0.289 x2
Zn: 0.000 0.344 0.157 x2
Zn: 0.500 0.139 0.755 x2
Zn: 0.500 0.467 0.955 x2

***

# 5
Diffraction record for Dy3Zn4. The powder diffractogram is theoretical, not measured: it uses a structure optimized by DFT (PBE) and Cu Kα (weighted mean of Kα1 and Kα2).
Peak positions follow from Bragg's law for the DFT cell and can differ from measured ones.

Peak list (10 most intense, 10° ≤ 2θ ≤ 80°, most intense first)
- 36.9°, d = 2.437 Å, I 100, hkl 2 1 1
- 31.1°, d = 2.879 Å, I 43, hkl 2 1 0
- 28.1°, d = 3.170 Å, I 24, hkl 1 1 1
- 39.4°, d = 2.287 Å, I 23, hkl 0 0 2
- 51.0°, d = 1.791 Å, I 22, hkl 2 1 2
- 55.3°, d = 1.662 Å, I 15, hkl 1 4 0
- 70.0°, d = 1.345 Å, I 15, hkl 1 4 2
- 69.8°, d = 1.347 Å, I 15, hkl 2 1 3
- 22.7°, d = 3.921 Å, I 10, hkl 1 0 1
- 68.3°, d = 1.373 Å, I 8, hkl 4 2 1

Structural model:
a = 8.7963 Å, b = 8.7963 Å, c = 4.5735 Å
α = 90.00°, β = 90.00°, γ = 120.00°
Space group P6_3/m (No. 176)
Unique sites:
Dy: 0.1009 0.4404 0.2500 x6
Zn: 0.0368 0.2034 0.7500 x6
Zn: 0.3333 0.6667 0.7500 x2

***

# 6
Diffraction record for DyZr2. The powder diffractogram is theoretical, not measured: it uses a structure optimized by DFT (PBE) and Cu Kα (weighted mean of Kα1 and Kα2).
Peak positions follow from Bragg's law for the DFT cell and can differ from measured ones.

Peak list (10 most intense, 10° ≤ 2θ ≤ 80°, most intense first)
- 35.4°, d = 2.537 Å, I 100, hkl 1 1 1
- 30.9°, d = 2.893 Å, I 27, hkl 1 1 0
- 34.0°, d = 2.636 Å, I 25, hkl 0 0 2
- 66.2°, d = 1.411 Å, I 20, hkl 3 0 2
- 61.8°, d = 1.502 Å, I 19, hkl 1 1 3
- 55.0°, d = 1.671 Å, I 18, hkl 3 0 0
- 46.6°, d = 1.949 Å, I 17, hkl 1 1 2
- 67.1°, d = 1.395 Å, I 15, hkl 2 2 1
- 24.5°, d = 3.632 Å, I 5, hkl 1 0 1
- 16.8°, d = 5.272 Å, I 5, hkl 0 0 1

Structural model:
a = 5.7869 Å, b = 5.7869 Å, c = 5.2724 Å
α = 90.00°, β = 90.00°, γ = 120.00°
Space group P-62m (No. 189)
Unique sites:
Dy: 0.3333 0.6667 0.0000 x2
Zr: 0.0000 0.0000 0.0000 x1
Zr: 0.0000 0.3146 0.5000 x3

***

# 7
Diffraction record for DyZr. The powder diffractogram is theoretical, not measured: it uses a structure optimized by DFT (PBE) and Cu Kα (weighted mean of Kα1 and Kα2).
Peak positions follow from Bragg's law for the DFT cell and can differ from measured ones.

Peak list (10 most intense, 10° ≤ 2θ ≤ 80°, most intense first)
- 34.6°, d = 2.593 Å, I 100, hkl 1 3 1
- 34.9°, d = 2.568 Å, I 48, hkl 1 0 2
- 33.5°, d = 2.676 Å, I 37, hkl 2 0 0
- 30.1°, d = 2.965 Å, I 23, hkl 0 3 1
- 60.6°, d = 1.528 Å, I 20, hkl 3 3 1
- 65.1°, d = 1.433 Å, I 20, hkl 2 3 3
- 54.0°, d = 1.697 Å, I 17, hkl 0 3 3
- 45.7°, d = 1.986 Å, I 15, hkl 2 3 1
- 65.3°, d = 1.429 Å, I 13, hkl 1 6 2
- 30.5°, d = 2.927 Å, I 13, hkl 0 0 2

Structural model:
a = 5.352 Å, b = 10.315 Å, c = 5.853 Å
α = 90.00°, β = 90.00°, γ = 90.00°
Space group Pmc2_1 (No. 26)
Unique sites:
Dy: 0.000 0.082 0.000 x2
Dy: 0.000 0.408 0.027 x2
Dy: 0.500 0.401 0.666 x2
Zr: 0.000 0.242 0.503 x2
Zr: 0.500 0.086 0.667 x2
Zr: 0.500 0.233 0.194 x2

***

# 8
Diffraction record for Dy3Zr4. The powder diffractogram is theoretical, not measured: it uses a structure optimized by DFT (PBE) and Cu Kα (weighted mean of Kα1 and Kα2).
Peak positions follow from Bragg's law for the DFT cell and can differ from measured ones.

Peak list (10 most intense, 10° ≤ 2θ ≤ 80°, most intense first)
- 35.0°, d = 2.563 Å, I 100, hkl 2 1 1
- 30.6°, d = 2.918 Å, I 26, hkl 2 1 0
- 33.4°, d = 2.681 Å, I 26, hkl 0 0 2
- 65.4°, d = 1.426 Å, I 20, hkl 1 4 2
- 60.8°, d = 1.524 Å, I 20, hkl 2 1 3
- 54.5°, d = 1.685 Å, I 18, hkl 1 4 0
- 46.0°, d = 1.974 Å, I 17, hkl 2 1 2
- 66.4°, d = 1.408 Å, I 14, hkl 4 2 1
- 26.0°, d = 3.427 Å, I 7, hkl 1 1 1
- 74.0°, d = 1.282 Å, I 3, hkl 4 2 2

Structural model:
a = 8.9148 Å, b = 8.9148 Å, c = 5.3612 Å
α = 90.00°, β = 90.00°, γ = 120.00°
Space group P6_3/m (No. 176)
Unique sites:
Dy: 0.0942 0.4649 0.2500 x6
Zr: 0.0508 0.2258 0.7500 x6
Zr: 0.3333 0.6667 0.7500 x2

***

# 9
Diffraction record for Er. The powder diffractogram is theoretical, not measured: it uses a structure optimized by DFT (PBE) and Cu Kα (weighted mean of Kα1 and Kα2).
Peak positions follow from Bragg's law for the DFT cell and can differ from measured ones.

Peak list (10 most intense, 10° ≤ 2θ ≤ 80°, most intense first)
- 31.4°, d = 2.852 Å, I 100, hkl 1 0 1
- 36.4°, d = 2.466 Å, I 67, hkl 0 1 2
- 62.4°, d = 1.488 Å, I 42, hkl 1 1 3
- 31.5°, d = 2.837 Å, I 33, hkl 0 0 3
- 52.4°, d = 1.747 Å, I 24, hkl 1 1 0
- 52.6°, d = 1.741 Å, I 24, hkl 1 0 4
- 62.6°, d = 1.484 Å, I 14, hkl 0 1 5
- 65.5°, d = 1.426 Å, I 12, hkl 2 0 2
- 77.4°, d = 1.233 Å, I 8, hkl 0 2 4
- 65.8°, d = 1.419 Å, I 4, hkl 0 0 6

Structural model:
a = 3.4946 Å, b = 3.4946 Å, c = 8.5115 Å
α = 90.00°, β = 90.00°, γ = 120.00°
Space group P3_121 (No. 152)
Unique sites:
Er: 0.0000 0.3405 0.1667 x3

***

# 10
Diffraction record for Er. The powder diffractogram is theoretical, not measured: it uses a structure optimized by DFT (PBE) and Cu Kα (weighted mean of Kα1 and Kα2).
Peak positions follow from Bragg's law for the DFT cell and can differ from measured ones.

Peak list (10 most intense, 10° ≤ 2θ ≤ 80°, most intense first)
- 33.4°, d = 2.686 Å, I 100, hkl 1 1 1
- 33.1°, d = 2.707 Å, I 51, hkl 0 2 1
- 32.3°, d = 2.773 Å, I 36, hkl 0 0 2
- 29.1°, d = 3.070 Å, I 24, hkl 1 1 0
- 61.8°, d = 1.501 Å, I 23, hkl 1 3 2
- 58.3°, d = 1.584 Å, I 20, hkl 1 1 3
- 51.2°, d = 1.785 Å, I 20, hkl 1 3 0
- 62.8°, d = 1.480 Å, I 16, hkl 2 2 1
- 44.0°, d = 2.058 Å, I 16, hkl 1 1 2
- 28.8°, d = 3.102 Å, I 12, hkl 0 2 0

Structural model:
a = 3.533 Å, b = 6.204 Å, c = 5.545 Å
α = 90.00°, β = 90.00°, γ = 90.00°
Space group Cmcm (No. 63)
Unique sites:
Er: 0.000 0.166 0.250 x4

***

# 11
Diffraction record for Er. The powder diffractogram is theoretical, not measured: it uses a structure optimized by DFT (PBE) and Cu Kα (weighted mean of Kα1 and Kα2).
Peak positions follow from Bragg's law for the DFT cell and can differ from measured ones.

Peak list (10 most intense, 10° ≤ 2θ ≤ 80°, most intense first)
- 33.5°, d = 2.675 Å, I 100, hkl 1 0 2
- 30.5°, d = 2.933 Å, I 43, hkl 1 0 1
- 31.7°, d = 2.821 Å, I 34, hkl 0 0 4
- 62.3°, d = 1.489 Å, I 30, hkl 1 1 4
- 52.2°, d = 1.754 Å, I 26, hkl 1 1 0
- 38.1°, d = 2.363 Å, I 24, hkl 1 0 3
- 57.7°, d = 1.599 Å, I 21, hkl 1 0 6
- 63.4°, d = 1.467 Å, I 16, hkl 2 0 2
- 50.4°, d = 1.811 Å, I 11, hkl 1 0 5
- 29.4°, d = 3.038 Å, I 8, hkl 1 0 0

Structural model:
a = 3.5075 Å, b = 3.5075 Å, c = 11.2832 Å
α = 90.00°, β = 90.00°, γ = 120.00°
Space group P6_3/mmc (No. 194)
Unique sites:
Er: 0.0000 0.0000 0.0000 x2
Er: 0.3333 0.6667 0.2500 x2

***

# 12
Diffraction record for Er. The powder diffractogram is theoretical, not measured: it uses a structure optimized by DFT (PBE) and Cu Kα (weighted mean of Kα1 and Kα2).
Peak positions follow from Bragg's law for the DFT cell and can differ from measured ones.

Peak list (10 most intense, 10° ≤ 2θ ≤ 80°, most intense first)
- 33.2°, d = 2.697 Å, I 100, hkl 1 0 1
- 28.9°, d = 3.090 Å, I 24, hkl 1 0 0
- 32.4°, d = 2.762 Å, I 24, hkl 0 0 2
- 61.9°, d = 1.499 Å, I 22, hkl 1 1 2
- 58.3°, d = 1.582 Å, I 20, hkl 1 0 3
- 51.2°, d = 1.784 Å, I 20, hkl 1 1 0
- 62.4°, d = 1.488 Å, I 16, hkl 2 0 1
- 44.0°, d = 2.059 Å, I 15, hkl 1 0 2
- 69.7°, d = 1.348 Å, I 4, hkl 2 0 2
- 75.4°, d = 1.261 Å, I 3, hkl 1 0 4

Structural model:
a = 3.5677 Å, b = 3.5677 Å, c = 5.5245 Å
α = 90.00°, β = 90.00°, γ = 120.00°
Space group P6_3/mmc (No. 194)
Unique sites:
Er: 0.3333 0.6667 0.2500 x2